1.
Theoretical PXRD pattern
Compound: Dy4CBr3F2
Radiation: Cu Kα (λ = 1.5418 Å)
Structure: a PBE-relaxed structure

Peak list (10 most intense, 10 to 90 degrees two-theta, low angle first)
2θ/deg, I_rel
11.21, 60
23.62, 33
29.95, 20
30.46, 25
32.66, 100
33.62, 45
35.84, 39
38.93, 23
48.92, 24
49.60, 28

Structure:
Lattice parameters (Å, degrees): 15.501 3.713 8.136 90.00 104.09 90.00
Space group C2/m (No. 12)
Unique sites:
Dy  0.005  0.000  0.301 x4
Dy  0.156  0.500  0.570 x4
C  0.000  0.500  0.500 x2
Br  0.000  0.500  0.000 x2
Br  0.186  0.000  0.834 x4
F  0.176  0.000  0.403 x4



2.
Theoretical PXRD pattern
Compound: Dy4CIBr2F2
Radiation: Cu Kα (λ = 1.5418 Å)
Structure: a PBE-relaxed structure

Peak list (10 most intense, 10 to 90 degrees two-theta, low angle first)
2θ/deg, I_rel
10.82, 49
12.02, 20
23.57, 30
30.10, 29
31.76, 100
33.69, 48
35.07, 21
36.62, 35
38.27, 25
49.25, 47

Structure:
Lattice parameters (Å, degrees): 15.333 3.756 8.519 90.00 106.23 90.00
Space group C2/m (No. 12)
Unique sites:
Dy  0.005  0.000  0.311 x4
Dy  0.159  0.500  0.576 x4
C  0.000  0.500  0.500 x2
I  0.000  0.500  0.000 x2
Br  0.192  0.000  0.829 x4
F  0.176  0.000  0.413 x4



3.
Theoretical PXRD pattern
Compound: Nd2Dy2CBr4F
Radiation: Cu Kα (λ = 1.5418 Å)
Structure: a PBE-relaxed structure

Peak list (10 most intense, 10 to 90 degrees two-theta, low angle first)
2θ/deg, I_rel
11.88, 49
26.54, 18
30.41, 43
31.82, 18
33.49, 100
34.87, 50
45.64, 27
46.09, 24
48.31, 18
58.16, 18

Structure:
Lattice parameters (Å, degrees): 17.991 3.768 7.600 90.00 101.43 90.00
Space group C2/m (No. 12)
Unique sites:
Nd  0.002  0.000  0.266 x4
Dy  0.136  0.500  0.570 x4
C  0.000  0.500  0.500 x2
Br  0.166  0.000  0.854 x4
Br  0.174  0.000  0.318 x4
F  0.000  0.500  0.000 x2



4.
Theoretical PXRD pattern
Compound: Dy2Y2CBr4F
Radiation: Cu Kα (λ = 1.5418 Å)
Structure: a PBE-relaxed structure

Peak list (10 most intense, 10 to 90 degrees two-theta, low angle first)
2θ/deg, I_rel
10.20, 31
12.03, 24
24.37, 17
24.75, 38
30.92, 55
34.15, 100
35.56, 54
46.42, 34
47.04, 28
49.58, 19

Structure:
Lattice parameters (Å, degrees): 17.690 3.677 7.501 90.00 101.21 90.00
Space group C2/m (No. 12)
Unique sites:
Dy  0.003  0.000  0.276 x4
Y  0.138  0.500  0.574 x4
C  0.000  0.500  0.500 x2
Br  0.160  0.000  0.864 x4
Br  0.173  0.000  0.313 x4
F  0.000  0.500  0.000 x2



5.
Theoretical PXRD pattern
Compound: Gd2Dy2CBr5
Radiation: Cu Kα (λ = 1.5418 Å)
Structure: a PBE-relaxed structure

Peak list (10 most intense, 10 to 90 degrees two-theta, low angle first)
2θ/deg, I_rel
10.10, 27
11.10, 55
28.74, 16
30.62, 42
31.32, 24
32.01, 100
34.68, 34
44.77, 27
44.99, 25
47.43, 18

Structure:
Lattice parameters (Å, degrees): 17.961 3.834 8.175 90.00 102.76 90.00
Space group C2/m (No. 12)
Unique sites:
Gd  0.001  0.000  0.297 x4
Dy  0.137  0.500  0.572 x4
C  0.000  0.500  0.500 x2
Br  0.000  0.500  0.000 x2
Br  0.163  0.000  0.837 x4
Br  0.170  0.000  0.333 x4



6.
Theoretical PXRD pattern
Compound: Dy2Ho2CI2Br3
Radiation: Cu Kα (λ = 1.5418 Å)
Structure: a PBE-relaxed structure

Peak list (10 most intense, 10 to 90 degrees two-theta, low angle first)
2θ/deg, I_rel
11.09, 55
28.47, 15
29.67, 44
30.91, 18
31.93, 100
34.01, 29
34.13, 20
44.01, 27
44.32, 36
47.16, 19

Structure:
Lattice parameters (Å, degrees): 18.486 3.854 8.166 90.00 102.27 90.00
Space group C2/m (No. 12)
Unique sites:
Dy  0.133  0.000  0.070 x4
Ho  0.000  0.500  0.199 x4
C  0.000  0.000  0.000 x2
I  0.171  0.500  0.808 x4
Br  0.000  0.000  0.500 x2
Br  0.157  0.500  0.336 x4



7.
Theoretical PXRD pattern
Compound: Dy2Ho2CIBr4
Radiation: Cu Kα (λ = 1.5418 Å)
Structure: a PBE-relaxed structure

Peak list (10 most intense, 10 to 90 degrees two-theta, low angle first)
2θ/deg, I_rel
10.27, 27
10.73, 43
28.59, 15
31.16, 34
31.36, 100
34.73, 12
34.94, 13
44.71, 20
44.89, 20
47.19, 15

Structure:
Lattice parameters (Å, degrees): 17.715 3.852 8.479 90.00 103.52 90.00
Space group C2/m (No. 12)
Unique sites:
Dy  0.001  0.000  0.308 x4
Ho  0.138  0.500  0.571 x4
C  0.000  0.500  0.500 x2
I  0.000  0.500  0.000 x2
Br  0.166  0.000  0.825 x4
Br  0.171  0.000  0.341 x4



8.
Theoretical PXRD pattern
Compound: Dy4CIBr4
Radiation: Cu Kα (λ = 1.5418 Å)
Structure: a PBE-relaxed structure

Peak list (10 most intense, 10 to 90 degrees two-theta, low angle first)
2θ/deg, I_rel
10.20, 36
10.69, 54
28.52, 20
30.94, 43
31.15, 27
31.30, 100
34.78, 16
44.45, 26
44.73, 26
47.10, 19

Structure:
Lattice parameters (Å, degrees): 17.818 3.859 8.506 90.00 103.29 90.00
Space group C2/m (No. 12)
Unique sites:
Dy  0.001  0.000  0.309 x4
Dy  0.138  0.500  0.570 x4
C  0.000  0.500  0.500 x2
I  0.000  0.500  0.000 x2
Br  0.165  0.000  0.824 x4
Br  0.170  0.000  0.340 x4



9.
Theoretical PXRD pattern
Compound: Nd2Dy2CI4Br
Radiation: Cu Kα (λ = 1.5418 Å)
Structure: a PBE-relaxed structure

Peak list (10 most intense, 10 to 90 degrees two-theta, low angle first)
2θ/deg, I_rel
10.62, 25
27.57, 19
28.64, 51
29.95, 25
30.80, 100
32.96, 33
35.68, 20
42.49, 28
42.63, 28
45.83, 20

Structure:
Lattice parameters (Å, degrees): 19.162 3.960 8.535 90.00 102.60 90.00
Space group C2/m (No. 12)
Unique sites:
Nd  0.135  0.000  0.067 x4
Dy  0.001  0.500  0.806 x4
C  0.000  0.000  0.000 x2
I  0.160  0.500  0.357 x4
I  0.165  0.500  0.802 x4
Br  0.000  0.000  0.500 x2



10.
Theoretical PXRD pattern
Compound: Nd2Dy2CI2Br3
Radiation: Cu Kα (λ = 1.5418 Å)
Structure: a PBE-relaxed structure

Peak list (10 most intense, 10 to 90 degrees two-theta, low angle first)
2θ/deg, I_rel
10.90, 42
28.06, 19
29.33, 51
30.50, 20
31.42, 100
33.61, 43
36.62, 18
43.43, 31
43.58, 37
46.49, 20

Structure:
Lattice parameters (Å, degrees): 18.717 3.906 8.316 90.00 102.53 90.00
Space group C2/m (No. 12)
Unique sites:
Nd  0.138  0.000  0.074 x4
Dy  0.001  0.500  0.802 x4
C  0.000  0.000  0.000 x2
I  0.169  0.500  0.798 x4
Br  0.000  0.000  0.500 x2
Br  0.154  0.500  0.346 x4



11.
Theoretical PXRD pattern
Compound: Nd2Dy2CI2Br3
Radiation: Cu Kα (λ = 1.5418 Å)
Structure: a PBE-relaxed structure

Peak list (10 most intense, 10 to 90 degrees two-theta, low angle first)
2θ/deg, I_rel
10.73, 59
28.86, 38
30.97, 100
32.20, 15
33.10, 49
38.83, 15
42.75, 25
42.89, 37
45.83, 18
55.07, 14

Structure:
Lattice parameters (Å, degrees): 19.015 3.960 8.442 90.00 102.50 90.00
Space group C2/m (No. 12)
Unique sites:
Nd  0.000  0.000  0.206 x4
Dy  0.130  0.500  0.069 x4
C  0.000  0.500  0.000 x2
I  0.172  0.000  0.826 x4
Br  0.000  0.500  0.500 x2
Br  0.161  0.000  0.322 x4



12.
Theoretical PXRD pattern
Compound: Sm2Dy2CI4Br
Radiation: Cu Kα (λ = 1.5418 Å)
Structure: a PBE-relaxed structure

Peak list (10 most intense, 10 to 90 degrees two-theta, low angle first)
2θ/deg, I_rel
10.72, 28
27.66, 17
28.64, 48
30.02, 23
30.99, 100
33.02, 36
35.95, 18
42.62, 27
42.79, 38
45.95, 20

Structure:
Lattice parameters (Å, degrees): 19.148 3.950 8.454 90.00 102.44 90.00
Space group C2/m (No. 12)
Unique sites:
Sm  0.132  0.000  0.066 x4
Dy  0.001  0.500  0.805 x4
C  0.000  0.000  0.000 x2
I  0.161  0.500  0.354 x4
I  0.166  0.500  0.807 x4
Br  0.000  0.000  0.500 x2